Entry 1:
K3Fe22O34: computed powder diffractogram (Cu Kα, 1.54184 Å), based on DFT lattice parameters and positions (PBE+U).
Neutral-atom scattering factors, no anomalous dispersion.

Atomic structure:
```
data_K3Fe22O34
_cell_length_a 6.059
_cell_length_b 6.063
_cell_length_c 24.138
_cell_angle_alpha 89.70
_cell_angle_beta 89.85
_cell_angle_gamma 60.10
_space_group_name_H-M_alt 'P 1'
_space_group_IT_number 1
loop_
_space_group_symop_operation_xyz
'x,y,z'
loop_
_atom_site_label
_atom_site_type_symbol
_atom_site_fract_x
_atom_site_fract_y
_atom_site_fract_z
_atom_site_occupancy
K1 K 0.000 0.000 0.000 1
K2 K 0.166 0.406 0.493 1
K3 K 0.562 0.718 0.490 1
Fe1 Fe 0.153 0.153 0.141 1
Fe2 Fe 0.153 0.154 0.851 1
Fe3 Fe 0.153 0.657 0.140 1
Fe4 Fe 0.154 0.657 0.851 1
Fe5 Fe 0.322 0.321 0.248 1
Fe6 Fe 0.322 0.321 0.745 1
Fe7 Fe 0.485 0.487 0.351 1
Fe8 Fe 0.486 0.991 0.351 1
Fe9 Fe 0.488 0.489 0.639 1
Fe10 Fe 0.488 0.986 0.640 1
Fe11 Fe 0.654 0.654 0.920 1
Fe12 Fe 0.655 0.654 0.221 1
Fe13 Fe 0.655 0.655 0.072 1
Fe14 Fe 0.655 0.655 0.771 1
Fe15 Fe 0.657 0.154 0.851 1
Fe16 Fe 0.658 0.152 0.140 1
Fe17 Fe 0.981 0.992 0.416 1
Fe18 Fe 0.983 0.991 0.571 1
Fe19 Fe 0.984 0.489 0.640 1
Fe20 Fe 0.988 0.987 0.719 1
Fe21 Fe 0.989 0.488 0.350 1
Fe22 Fe 0.990 0.990 0.270 1
O1 O 0.007 0.477 0.196 1
O2 O 0.009 0.478 0.794 1
O3 O 0.027 0.965 0.496 1
O4 O 0.164 0.165 0.693 1
O5 O 0.164 0.634 0.693 1
O6 O 0.168 0.171 0.301 1
O7 O 0.170 0.623 0.300 1
O8 O 0.312 0.826 0.890 1
O9 O 0.312 0.827 0.098 1
O10 O 0.320 0.322 0.601 1
O11 O 0.321 0.321 0.104 1
O12 O 0.321 0.321 0.886 1
O13 O 0.322 0.320 0.394 1
O14 O 0.328 0.817 0.393 1
O15 O 0.329 0.818 0.599 1
O16 O 0.478 0.007 0.197 1
O17 O 0.478 0.008 0.794 1
O18 O 0.478 0.477 0.794 1
O19 O 0.479 0.478 0.196 1
O20 O 0.625 0.170 0.301 1
O21 O 0.635 0.164 0.693 1
O22 O 0.650 0.651 0.995 1
O23 O 0.655 0.654 0.302 1
O24 O 0.655 0.654 0.690 1
O25 O 0.811 0.341 0.397 1
O26 O 0.812 0.811 0.397 1
O27 O 0.812 0.813 0.596 1
O28 O 0.813 0.337 0.596 1
O29 O 0.826 0.312 0.890 1
O30 O 0.826 0.826 0.890 1
O31 O 0.826 0.827 0.098 1
O32 O 0.827 0.312 0.098 1
O33 O 0.987 0.985 0.186 1
O34 O 0.988 0.988 0.799 1
```

Largest 6 diffraction maxima, in order of rising 2θ, 2θ from 10° to 90°:
| two_theta | Rel. int. |
| --- | --- |
| 14.7 | 70 |
| 31.0 | 100 |
| 31.1 | 53 |
| 33.0 | 63 |
| 34.3 | 70 |
| 61.2 | 69 |

Entry 2:
KFeO2: computed powder diffractogram (Cu Kα, 1.54184 Å), based on DFT lattice parameters and positions (PBE+U).
Neutral-atom scattering factors, no anomalous dispersion.

Atomic structure:
```
data_KFeO2
_cell_length_a 3.206
_cell_length_b 6.817
_cell_length_c 6.848
_cell_angle_alpha 97.00
_cell_angle_beta 103.52
_cell_angle_gamma 103.25
_space_group_name_H-M_alt 'P -1'
_space_group_IT_number 2
loop_
_space_group_symop_operation_xyz
'x,y,z'
'-x,-y,-z'
loop_
_atom_site_label
_atom_site_type_symbol
_atom_site_fract_x
_atom_site_fract_y
_atom_site_fract_z
_atom_site_occupancy
K1 K 0.002 0.167 0.329 1
Fe1 Fe 0.346 0.346 0.841 1
O1 O 0.279 0.779 0.287 1
O2 O 0.498 0.363 0.130 1
```

Largest 6 diffraction maxima, in order of rising 2θ, 2θ from 10° to 90°:
| two_theta | Rel. int. |
| --- | --- |
| 13.6 | 51 |
| 17.3 | 97 |
| 27.3 | 86 |
| 28.2 | 64 |
| 29.2 | 100 |
| 34.6 | 54 |

Entry 3:
KFeO2: computed powder diffractogram (Cu Kα, 1.54184 Å), based on DFT lattice parameters and positions (PBE+U).
Neutral-atom scattering factors, no anomalous dispersion.

Atomic structure:
```
data_KFeO2
_cell_length_a 13.050
_cell_length_b 3.219
_cell_length_c 8.306
_cell_angle_alpha 90.00
_cell_angle_beta 127.94
_cell_angle_gamma 90.00
_space_group_name_H-M_alt 'C 1 2/m 1'
_space_group_IT_number 12
loop_
_space_group_symop_operation_xyz
'x,y,z'
'-x,-y,-z'
'-x,y,-z'
'x,-y,z'
'x+1/2,y+1/2,z'
'-x+1/2,-y+1/2,-z'
'-x+1/2,y+1/2,-z'
'x+1/2,-y+1/2,z'
loop_
_atom_site_label
_atom_site_type_symbol
_atom_site_fract_x
_atom_site_fract_y
_atom_site_fract_z
_atom_site_occupancy
K1 K 0.172 0.000 0.188 1
Fe1 Fe 0.023 0.000 0.679 1
O1 O 0.038 0.500 0.819 1
O2 O 0.131 0.000 0.597 1
```

Largest 6 diffraction maxima, in order of rising 2θ, 2θ from 10° to 90°:
| two_theta | Rel. int. |
| --- | --- |
| 13.9 | 39 |
| 17.2 | 80 |
| 27.2 | 58 |
| 28.4 | 72 |
| 29.1 | 100 |
| 43.1 | 52 |

Entry 4:
K3FeO2: computed powder diffractogram (Cu Kα, 1.54184 Å), based on DFT lattice parameters and positions (PBE+U).
Neutral-atom scattering factors, no anomalous dispersion.

Atomic structure:
```
data_K3FeO2
_cell_length_a 8.751
_cell_length_b 8.764
_cell_length_c 14.647
_cell_angle_alpha 90.00
_cell_angle_beta 90.00
_cell_angle_gamma 90.00
_space_group_name_H-M_alt 'C 2 2 21'
_space_group_IT_number 20
loop_
_space_group_symop_operation_xyz
'x,y,z'
'-x,-y,z+1/2'
'x,-y,-z'
'-x,y,-z+1/2'
'x+1/2,y+1/2,z'
'-x+1/2,-y+1/2,z+1/2'
'x+1/2,-y+1/2,-z'
'-x+1/2,y+1/2,-z+1/2'
loop_
_atom_site_label
_atom_site_type_symbol
_atom_site_fract_x
_atom_site_fract_y
_atom_site_fract_z
_atom_site_occupancy
K1 K 0.000 0.031 0.250 1
K2 K 0.031 0.500 0.000 1
K3 K 0.237 0.248 0.625 1
K4 K 0.248 0.263 0.375 1
Fe1 Fe 0.000 0.496 0.750 1
Fe2 Fe 0.004 0.000 0.000 1
O1 O 0.005 0.208 0.007 1
O2 O 0.208 0.495 0.757 1
```

Largest 6 diffraction maxima, in order of rising 2θ, 2θ from 10° to 90°:
| two_theta | Rel. int. |
| --- | --- |
| 28.8 | 44 |
| 31.9 | 100 |
| 41.2 | 27 |
| 53.0 | 34 |
| 58.6 | 10 |
| 66.6 | 12 |

Entry 5:
K6Fe2O5: computed powder diffractogram (Cu Kα, 1.54184 Å), based on DFT lattice parameters and positions (PBE+U).
Neutral-atom scattering factors, no anomalous dispersion.

Atomic structure:
```
data_K6Fe2O5
_cell_length_a 7.011
_cell_length_b 11.587
_cell_length_c 6.789
_cell_angle_alpha 90.00
_cell_angle_beta 92.84
_cell_angle_gamma 90.00
_space_group_name_H-M_alt 'C 1 m 1'
_space_group_IT_number 8
loop_
_space_group_symop_operation_xyz
'x,y,z'
'x,-y,z'
'x+1/2,y+1/2,z'
'x+1/2,-y+1/2,z'
loop_
_atom_site_label
_atom_site_type_symbol
_atom_site_fract_x
_atom_site_fract_y
_atom_site_fract_z
_atom_site_occupancy
K1 K 0.000 0.000 0.000 1
K2 K 0.134 0.289 0.823 1
K3 K 0.135 0.257 0.332 1
K4 K 0.280 0.000 0.656 1
Fe1 Fe 0.325 0.500 0.525 1
Fe2 Fe 0.426 0.000 0.160 1
O1 O 0.064 0.500 0.416 1
O2 O 0.338 0.141 0.048 1
O3 O 0.442 0.359 0.600 1
```

Largest 6 diffraction maxima, in order of rising 2θ, 2θ from 10° to 90°:
| two_theta | Rel. int. |
| --- | --- |
| 19.3 | 49 |
| 29.8 | 100 |
| 30.6 | 63 |
| 30.9 | 41 |
| 38.0 | 24 |
| 41.0 | 26 |

Entry 6:
K3FeO3: computed powder diffractogram (Cu Kα, 1.54184 Å), based on DFT lattice parameters and positions (PBE+U).
Neutral-atom scattering factors, no anomalous dispersion.

Atomic structure:
```
data_K3FeO3
_cell_length_a 7.206
_cell_length_b 11.403
_cell_length_c 6.611
_cell_angle_alpha 90.00
_cell_angle_beta 101.13
_cell_angle_gamma 90.00
_space_group_name_H-M_alt 'C 1 2/m 1'
_space_group_IT_number 12
loop_
_space_group_symop_operation_xyz
'x,y,z'
'-x,-y,-z'
'-x,y,-z'
'x,-y,z'
'x+1/2,y+1/2,z'
'-x+1/2,-y+1/2,-z'
'-x+1/2,y+1/2,-z'
'x+1/2,-y+1/2,z'
loop_
_atom_site_label
_atom_site_type_symbol
_atom_site_fract_x
_atom_site_fract_y
_atom_site_fract_z
_atom_site_occupancy
K1 K 0.000 0.196 0.000 1
K2 K 0.000 0.260 0.500 1
K3 K 0.128 0.500 0.854 1
Fe1 Fe 0.172 0.000 0.644 1
O1 O 0.099 0.000 0.339 1
O2 O 0.203 0.365 0.236 1
```

Largest 6 diffraction maxima, in order of rising 2θ, 2θ from 10° to 90°:
| two_theta | Rel. int. |
| --- | --- |
| 18.4 | 100 |
| 29.7 | 85 |
| 31.2 | 81 |
| 31.4 | 68 |
| 31.7 | 76 |
| 38.9 | 68 |